Starting from DFT lattice parameters and positions (GGA-PBE), the powder XRD pattern of Mg3Si2O9 was calculated for λ = 1.5418 Å (Cu Kα).

Main lines, in order of falling intensity (10 to 90 degrees two-theta):
- 18.6 deg, I = 100, hkl 0 0 6
- 24.8 deg, I = 82, hkl 0 0 8
- 12.3 deg, I = 80, hkl 0 0 4
- 36.5 deg, I = 47, hkl 1 3 -5
- 57.9 deg, I = 38, hkl 3 3 -1
- 34.9 deg, I = 35, hkl 1 3 3
- 19.3 deg, I = 32, hkl 1 1 -2
- 44.7 deg, I = 30, hkl 1 3 9

Crystal structure
```
data_Mg3Si2O9
_symmetry_space_group_name_H-M 'C 1 2/c 1'
_symmetry_Int_Tables_number 15
_symmetry_space_group_name_Hall '-C 2yc'
_cell_length_a 5.587
_cell_length_b 9.204
_cell_length_c 28.733
_cell_angle_alpha 90.00
_cell_angle_beta 93.50
_cell_angle_gamma 90.00
loop_
_atom_site_label
_atom_site_fract_x
_atom_site_fract_y
_atom_site_fract_z
_atom_site_occupancy
Mg1 0.000 0.083 0.250 1
Mg2 0.000 0.249 0.750 1
Mg3 0.000 0.415 0.250 1
Mg4 0.235 0.088 0.000 1
Mg5 0.250 0.250 0.500 1
Si1 0.112 0.086 0.596 1
Si2 0.113 0.252 0.097 1
O1 0.079 0.425 0.529 1
O2 0.090 0.087 0.539 1
O3 0.094 0.248 0.039 1
O4 0.120 0.083 0.116 1
O5 0.132 0.333 0.386 1
O6 0.133 0.167 0.886 1
O7 0.199 0.417 0.780 1
O8 0.200 0.083 0.781 1
O9 0.200 0.250 0.281 1
```

=====

Starting from DFT lattice parameters and positions (GGA-PBE), the powder XRD pattern of MgSiO3 was calculated for λ = 1.5418 Å (Cu Kα).

Main lines, in order of falling intensity (10 to 90 degrees two-theta):
- 27.8 deg, I = 100, hkl 1 2 1
- 30.4 deg, I = 32, hkl 3 1 0
- 34.7 deg, I = 22, hkl 1 0 2
- 32.4 deg, I = 19, hkl 2 2 1
- 38.6 deg, I = 18, hkl 2 0 2
- 45.5 deg, I = 17, hkl 3 3 1
- 27.2 deg, I = 16, hkl 2 1 1
- 55.3 deg, I = 14, hkl 0 2 3

Crystal structure
```
data_MgSiO3
_symmetry_space_group_name_H-M 'P b c n'
_symmetry_Int_Tables_number 60
_symmetry_space_group_name_Hall '-P 2n 2ab'
_cell_length_a 9.366
_cell_length_b 8.859
_cell_length_c 5.380
_cell_angle_alpha 90.00
_cell_angle_beta 90.00
_cell_angle_gamma 90.00
loop_
_atom_site_label
_atom_site_fract_x
_atom_site_fract_y
_atom_site_fract_z
_atom_site_occupancy
Mg1 0.000 0.098 0.250 1
Mg2 0.000 0.262 0.750 1
Si1 0.208 0.409 0.064 1
O1 0.118 0.094 0.577 1
O2 0.122 0.252 0.068 1
O3 0.151 0.475 0.788 1
```

=====

Starting from DFT lattice parameters and positions (GGA-PBE), the powder XRD pattern of MgSiO3 was calculated for λ = 1.5418 Å (Cu Kα).

Main lines, in order of falling intensity (10 to 90 degrees two-theta):
- 33.0 deg, I = 100, hkl 0 2 2
- 46.6 deg, I = 86, hkl 1 3 1
- 44.5 deg, I = 77, hkl 1 3 0
- 67.4 deg, I = 43, hkl 1 5 2
- 44.9 deg, I = 39, hkl 0 2 3
- 69.2 deg, I = 36, hkl 2 0 0
- 52.6 deg, I = 35, hkl 1 3 2
- 53.9 deg, I = 34, hkl 1 1 3

Crystal structure
```
data_MgSiO3
_symmetry_space_group_name_H-M 'C m c m'
_symmetry_Int_Tables_number 63
_symmetry_space_group_name_Hall '-C 2c 2'
_cell_length_a 2.716
_cell_length_b 9.212
_cell_length_c 6.730
_cell_angle_alpha 90.00
_cell_angle_beta 90.00
_cell_angle_gamma 90.00
loop_
_atom_site_label
_atom_site_fract_x
_atom_site_fract_y
_atom_site_fract_z
_atom_site_occupancy
Mg1 0.000 0.239 0.250 1
Si1 0.000 0.500 0.000 1
O1 0.000 0.126 0.555 1
O2 0.000 0.427 0.750 1
```